Record 1
# Nd2ZnSnAu6
Computed powder diffraction line list, CuKα. Input: the GGA-PBE geometry in Alexandria.
Intensities are scaled so that the largest is 100.

Cell and atoms:
Lattice parameters (Å, degrees): 5.6374 8.8058 9.5476 90.00 90.00 90.00
Fractional positions:
Nd 0.2500 0.0046 0.2414
Nd 0.2500 0.4954 0.2414
Nd 0.7500 0.5046 0.7586
Nd 0.7500 0.9954 0.7586
Zn 0.2500 0.7500 0.7544
Zn 0.7500 0.2500 0.2456
Sn 0.2500 0.2500 0.7784
Sn 0.7500 0.7500 0.2216
Au 0.0020 0.7500 0.9777
Au 0.0034 0.2500 0.4782
Au 0.2500 0.0070 0.6048
Au 0.2500 0.4930 0.6048
Au 0.4966 0.2500 0.4782
Au 0.4980 0.7500 0.9777
Au 0.5020 0.2500 0.0223
Au 0.5034 0.7500 0.5218
Au 0.7500 0.5070 0.3952
Au 0.7500 0.9930 0.3952
Au 0.9966 0.7500 0.5218
Au 0.9980 0.2500 0.0223

Largest 6 diffraction maxima, low angle first, 2θ from 10° to 80°:
two_theta  Rel. int.  h k l
27.56  81.3  0 2 2
37.04  83.4  2 0 2
37.90  100.0  2 2 0
38.38  79.9  1 2 3
41.00  69.9  0 4 0
42.53  51.4  2 2 2

Record 2
# SrNdAu4
Computed powder diffraction line list, CuKα. Input: the GGA-PBE geometry in Alexandria.
Intensities are scaled so that the largest is 100.

Cell and atoms:
Lattice parameters (Å, degrees): 3.7591 4.9291 8.0585 90.00 90.00 90.00
Fractional positions:
Sr 0.0000 0.0000 0.0000
Nd 0.0000 0.5000 0.5000
Au 0.5000 0.0000 0.3311
Au 0.5000 0.0000 0.6689
Au 0.5000 0.5000 0.1748
Au 0.5000 0.5000 0.8252

Largest 6 diffraction maxima, low angle first, 2θ from 10° to 80°:
two_theta  Rel. int.  h k l
23.67  44.0  1 0 0
31.93  100.0  1 1 1
32.58  58.5  1 0 2
36.46  50.4  0 2 0
38.15  88.6  0 1 3
63.26  40.8  2 1 3

Record 3
# Sr3NdAu4
Computed powder diffraction line list, CuKα. Input: the GGA-PBE geometry in Alexandria.
Intensities are scaled so that the largest is 100.

Cell and atoms:
Lattice parameters (Å, degrees): 7.5890 7.5890 7.5890 90.00 90.00 90.00
Fractional positions:
Sr 0.0000 0.0000 0.5000
Sr 0.0000 0.5000 0.0000
Sr 0.0000 0.5000 0.5000
Sr 0.5000 0.0000 0.0000
Sr 0.5000 0.0000 0.5000
Sr 0.5000 0.5000 0.0000
Nd 0.0000 0.0000 0.0000
Nd 0.5000 0.5000 0.5000
Au 0.2500 0.2500 0.2500
Au 0.2500 0.2500 0.7500
Au 0.2500 0.7500 0.2500
Au 0.2500 0.7500 0.7500
Au 0.7500 0.2500 0.2500
Au 0.7500 0.2500 0.7500
Au 0.7500 0.7500 0.2500
Au 0.7500 0.7500 0.7500

Largest 6 diffraction maxima, low angle first, 2θ from 10° to 80°:
two_theta  Rel. int.  h k l
23.44  11.8  2 0 0
33.40  100.0  2 2 0
47.95  18.3  4 0 0
59.69  38.1  4 2 2
70.15  11.9  4 4 0
79.95  16.8  6 2 0

Record 4
# TbNdAu4
Computed powder diffraction line list, CuKα. Input: the GGA-PBE geometry in Alexandria.
Intensities are scaled so that the largest is 100.

Cell and atoms:
Lattice parameters (Å, degrees): 3.8123 3.8123 9.2015 90.00 90.00 90.00
Fractional positions:
Tb 0.0000 0.0000 0.0000
Nd 0.5000 0.5000 0.5000
Au 0.0000 0.0000 0.3290
Au 0.0000 0.0000 0.6710
Au 0.5000 0.5000 0.1609
Au 0.5000 0.5000 0.8391

Largest 6 diffraction maxima, low angle first, 2θ from 10° to 80°:
two_theta  Rel. int.  h k l
33.23  70.2  1 1 0
37.64  100.0  1 0 3
47.71  25.9  2 0 0
62.31  46.5  2 1 3
70.67  15.8  1 1 6
79.50  11.9  3 1 0

Q: Number 1 is which compound?
A: Nd2ZnSnAu6